1.
# CsCo2S2
Computed powder diffractogram, a wavelength of 1.5418 Å. Input: a GGA-PBE-relaxed structure.

Largest 12 diffraction maxima, low angle first, 5 to 70 degrees two-theta:
| d/Å | I/Imax |
| --- | --- |
| 3.645 | 41 |
| 3.433 | 47 |
| 2.915 | 100 |
| 2.491 | 82 |
| 2.222 | 12 |
| 1.890 | 36 |
| 1.739 | 32 |
| 1.738 | 27 |
| 1.678 | 9 |
| 1.656 | 22 |
| 1.586 | 30 |
| 1.415 | 10 |

Atomic structure:
a = 7.369 Å, b = 7.367 Å, c = 3.781 Å
α = 75.15°, β = 75.11°, γ = 29.73°
Atoms (fractional coordinates):
Cs (0.000, 0.000, 0.000)
Co (0.250, 0.250, 0.250)
Co (0.750, 0.750, 0.750)
S (0.335, 0.335, 0.665)
S (0.664, 0.664, 0.336)



2.
# CsCo3Te5
Computed powder diffractogram, a wavelength of 1.5418 Å. Input: a GGA-PBE-relaxed structure.

Largest 12 diffraction maxima, low angle first, 5 to 70 degrees two-theta:
| d/Å | I/Imax |
| --- | --- |
| 8.199 | 55 |
| 4.338 | 13 |
| 3.198 | 96 |
| 2.951 | 100 |
| 2.395 | 19 |
| 2.169 | 80 |
| 2.050 | 17 |
| 2.005 | 12 |
| 1.748 | 33 |
| 1.704 | 20 |
| 1.684 | 28 |
| 1.476 | 22 |

Atomic structure:
a = 5.902 Å, b = 5.902 Å, c = 8.199 Å
α = 90.00°, β = 90.00°, γ = 120.00°
Atoms (fractional coordinates):
Cs (0.000, 0.000, 0.000)
Co (0.000, 0.500, 0.500)
Co (0.500, 0.000, 0.500)
Co (0.500, 0.500, 0.500)
Te (0.000, 0.000, 0.500)
Te (0.333, 0.667, 0.275)
Te (0.333, 0.667, 0.725)
Te (0.667, 0.333, 0.275)
Te (0.667, 0.333, 0.725)



3.
# Ga2CoCu5
Computed powder diffractogram, a wavelength of 1.5418 Å. Input: a GGA-PBE-relaxed structure.

Largest 4 diffraction maxima, low angle first, 5 to 70 degrees two-theta:
| d/Å | I/Imax |
| --- | --- |
| 2.050 | 100 |
| 2.044 | 50 |
| 1.454 | 8 |
| 1.445 | 15 |

Atomic structure:
a = 4.088 Å, b = 4.088 Å, c = 5.816 Å
α = 90.00°, β = 90.00°, γ = 90.00°
Atoms (fractional coordinates):
Ga (0.000, 0.000, 0.000)
Ga (0.500, 0.500, 0.500)
Co (0.000, 0.000, 0.500)
Cu (0.000, 0.500, 0.250)
Cu (0.000, 0.500, 0.750)
Cu (0.500, 0.000, 0.250)
Cu (0.500, 0.000, 0.750)
Cu (0.500, 0.500, 0.000)



4.
# NbGaCoCu
Computed powder diffractogram, a wavelength of 1.5418 Å. Input: a GGA-PBE-relaxed structure.

Largest 6 diffraction maxima, low angle first, 5 to 70 degrees two-theta:
| d/Å | I/Imax |
| --- | --- |
| 3.467 | 2 |
| 3.003 | 2 |
| 2.123 | 100 |
| 1.811 | 1 |
| 1.734 | 1 |
| 1.501 | 16 |

Atomic structure:
a = 6.005 Å, b = 6.005 Å, c = 6.005 Å
α = 90.00°, β = 90.00°, γ = 90.00°
Atoms (fractional coordinates):
Nb (0.000, 0.000, 0.000)
Nb (0.000, 0.500, 0.500)
Nb (0.500, 0.000, 0.500)
Nb (0.500, 0.500, 0.000)
Ga (0.000, 0.000, 0.500)
Ga (0.000, 0.500, 0.000)
Ga (0.500, 0.000, 0.000)
Ga (0.500, 0.500, 0.500)
Co (0.250, 0.250, 0.750)
Co (0.250, 0.750, 0.250)
Co (0.750, 0.250, 0.250)
Co (0.750, 0.750, 0.750)
Cu (0.250, 0.250, 0.250)
Cu (0.250, 0.750, 0.750)
Cu (0.750, 0.250, 0.750)
Cu (0.750, 0.750, 0.250)



5.
# Co2CuGe2
Computed powder diffractogram, a wavelength of 1.5418 Å. Input: a GGA-PBE-relaxed structure.

Largest 12 diffraction maxima, low angle first, 5 to 70 degrees two-theta:
| d/Å | I/Imax |
| --- | --- |
| 4.008 | 5 |
| 3.867 | 6 |
| 2.781 | 23 |
| 2.527 | 11 |
| 2.256 | 12 |
| 2.034 | 7 |
| 2.005 | 100 |
| 1.933 | 32 |
| 1.929 | 50 |
| 1.779 | 6 |
| 1.391 | 15 |
| 1.389 | 9 |

Atomic structure:
a = 5.013 Å, b = 3.867 Å, c = 6.675 Å
α = 90.00°, β = 90.00°, γ = 90.00°
Atoms (fractional coordinates):
Co (0.000, 0.000, 0.000)
Co (0.250, 0.000, 0.340)
Co (0.500, 0.000, 0.000)
Co (0.750, 0.000, 0.660)
Cu (0.000, 0.500, 0.500)
Cu (0.500, 0.500, 0.500)
Ge (0.250, 0.000, 0.696)
Ge (0.250, 0.500, 0.121)
Ge (0.750, 0.000, 0.304)
Ge (0.750, 0.500, 0.879)



6.
# LaCoCuGe2
Computed powder diffractogram, a wavelength of 1.5418 Å. Input: a GGA-PBE-relaxed structure.

Largest 11 diffraction maxima, low angle first, 5 to 70 degrees two-theta:
| d/Å | I/Imax |
| --- | --- |
| 3.867 | 5 |
| 2.953 | 25 |
| 2.641 | 97 |
| 2.557 | 100 |
| 2.088 | 68 |
| 1.933 | 12 |
| 1.837 | 28 |
| 1.638 | 45 |
| 1.617 | 5 |
| 1.476 | 42 |
| 1.379 | 21 |

Atomic structure:
a = 4.177 Å, b = 4.177 Å, c = 10.225 Å
α = 90.00°, β = 90.00°, γ = 90.00°
Atoms (fractional coordinates):
La (0.000, 0.000, 0.000)
La (0.500, 0.500, 0.500)
Co (0.000, 0.500, 0.250)
Co (0.500, 0.000, 0.750)
Cu (0.000, 0.500, 0.750)
Cu (0.500, 0.000, 0.250)
Ge (0.000, 0.000, 0.371)
Ge (0.000, 0.000, 0.629)
Ge (0.500, 0.500, 0.129)
Ge (0.500, 0.500, 0.871)